Calculated powder XRD pattern of LiMn2B2O6 for CuKα, from the PBE+U geometry in the Materials Project.

Principal peaks in the range 10° ≤ 2θ ≤ 90°, in order of rising 2θ:
2θ/deg, intensity, h k l
20.0, 263, 1 0 -1
20.1, 1000, 0 1 2
20.7, 294, 1 0 2
21.9, 614, 1 1 1
22.9, 852, 1 -1 0
34.0, 419, -1 1 3
35.0, 838, 0 2 -2
37.4, 284, 1 2 3
40.6, 367, 2 0 -2
53.4, 261, -1 2 5

Structural model:
Cell: 5.3062 6.0736 11.8253 Å, 83.40 78.85 86.97°
Space group P1 (No. 1)
One atom of each set of equivalent atoms:
Li (0.0000, 0.0000, 0.0000) [1 per cell]
Li (0.0500, 0.5950, 0.2691) [1 per cell]
Li (0.3866, 0.9255, 0.6018) [1 per cell]
Mn (0.1773, 0.4254, 0.0131) [1 per cell]
Mn (0.2091, 0.4991, 0.5888) [1 per cell]
Mn (0.5075, 0.7591, 0.3489) [1 per cell]
Mn (0.5508, 0.8341, 0.9181) [1 per cell]
Mn (0.8421, 0.0940, 0.6824) [1 per cell]
Mn (0.8804, 0.1673, 0.2557) [1 per cell]
B (0.1189, 0.7346, 0.8044) [1 per cell]
B (0.2699, 0.1944, 0.7977) [1 per cell]
B (0.4507, 0.0450, 0.1373) [1 per cell]
B (0.6051, 0.5505, 0.1330) [1 per cell]
B (0.7806, 0.3950, 0.4730) [1 per cell]
B (0.9361, 0.8773, 0.4670) [1 per cell]
O (0.0907, 0.2583, 0.8873) [1 per cell]
O (0.1727, 0.7374, 0.9173) [1 per cell]
O (0.1858, 0.8222, 0.4831) [1 per cell]
O (0.2044, 0.1177, 0.1179) [1 per cell]
O (0.2068, 0.1800, 0.6878) [1 per cell]
O (0.2971, 0.6701, 0.7163) [1 per cell]
O (0.4148, 0.6104, 0.2229) [1 per cell]
O (0.5063, 0.0441, 0.2495) [1 per cell]
O (0.5163, 0.1188, 0.8102) [1 per cell]
O (0.5370, 0.5424, 0.0248) [1 per cell]
O (0.5406, 0.4920, 0.4586) [1 per cell]
O (0.6405, 0.9850, 0.0500) [1 per cell]
O (0.7478, 0.9491, 0.5524) [1 per cell]
O (0.8338, 0.3766, 0.5864) [1 per cell]
O (0.8537, 0.4884, 0.1499) [1 per cell]
O (0.8736, 0.8471, 0.3587) [1 per cell]
O (0.8760, 0.8218, 0.7890) [1 per cell]
O (0.9613, 0.3418, 0.3819) [1 per cell]


Calculated powder XRD pattern of Li5Mn6B6O18 for CuKα, from the PBE+U geometry in the Materials Project.

Principal peaks in the range 10° ≤ 2θ ≤ 90°, in order of rising 2θ:
2θ/deg, intensity, h k l
20.3, 923, 1 1 1
22.0, 472, 1 0 -1
22.7, 732, 0 2 1
34.0, 1000, 0 2 -2
34.0, 674, 1 2 3
34.4, 255, 2 0 1
37.7, 258, 2 1 0
39.8, 289, -2 1 1
40.7, 390, 0 2 4
50.9, 278, 0 4 -1

Structural model:
Cell: 5.2169 7.9492 9.7002 Å, 75.67 76.39 88.13°
Space group P1 (No. 1)
One atom of each set of equivalent atoms:
Li (0.0000, 0.0000, 0.0000) [1 per cell]
Li (0.1533, 0.6788, 0.0365) [1 per cell]
Li (0.3291, 0.3333, 0.3313) [1 per cell]
Li (0.4841, 0.0086, 0.3734) [1 per cell]
Li (0.6742, 0.6511, 0.6727) [1 per cell]
Mn (0.2226, 0.5856, 0.5163) [1 per cell]
Mn (0.2570, 0.4138, 0.8520) [1 per cell]
Mn (0.5627, 0.9282, 0.8499) [1 per cell]
Mn (0.5911, 0.7541, 0.1914) [1 per cell]
Mn (0.8950, 0.2622, 0.1813) [1 per cell]
Mn (0.9150, 0.0902, 0.5293) [1 per cell]
B (0.0351, 0.8678, 0.2975) [1 per cell]
B (0.1146, 0.8054, 0.7453) [1 per cell]
B (0.3774, 0.2113, 0.6126) [1 per cell]
B (0.4457, 0.1403, 0.0807) [1 per cell]
B (0.7011, 0.5422, 0.9606) [1 per cell]
B (0.7792, 0.4772, 0.4135) [1 per cell]
O (0.1653, 0.8731, 0.8546) [1 per cell]
O (0.2145, 0.1799, 0.0303) [1 per cell]
O (0.2410, 0.3515, 0.6562) [1 per cell]
O (0.2638, 0.8184, 0.3520) [1 per cell]
O (0.2817, 0.6873, 0.6872) [1 per cell]
O (0.3111, 0.1399, 0.5088) [1 per cell]
O (0.4956, 0.2104, 0.1884) [1 per cell]
O (0.5387, 0.6655, 0.0176) [1 per cell]
O (0.5424, 0.5128, 0.3668) [1 per cell]
O (0.5866, 0.1490, 0.6723) [1 per cell]
O (0.6143, 0.0187, 0.0289) [1 per cell]
O (0.6374, 0.4725, 0.8587) [1 per cell]
O (0.8450, 0.5682, 0.5028) [1 per cell]
O (0.8734, 0.9923, 0.3491) [1 per cell]
O (0.8834, 0.8495, 0.6960) [1 per cell]
O (0.9366, 0.4992, 0.0079) [1 per cell]
O (0.9391, 0.3494, 0.3640) [1 per cell]
O (0.9898, 0.8024, 0.1859) [1 per cell]


Calculated powder XRD pattern of LiMn2B2O6 for CuKα, from the PBE+U geometry in the Materials Project.

Principal peaks in the range 10° ≤ 2θ ≤ 90°, in order of rising 2θ:
2θ/deg, intensity, h k l
20.1, 1000, 1 0 0
21.0, 229, 1 1 1
22.0, 442, 1 1 0
22.6, 612, 0 1 1
34.0, 460, 1 -1 0
34.4, 610, 0 0 2
34.7, 187, 2 1 1
37.4, 345, 2 1 0
40.8, 426, 0 2 0
53.3, 165, 2 -1 0

Structural model:
Cell: 5.1910 5.2750 5.8240 Å, 66.54 68.42 60.61°
Space group P1 (No. 1)
One atom of each set of equivalent atoms:
Li (0.0000, 0.0000, 0.0000) [1 per cell]
Mn (0.4440, 0.1747, 0.5866) [1 per cell]
Mn (0.6659, 0.6259, 0.0876) [1 per cell]
B (0.3198, 0.3073, 0.0883) [1 per cell]
B (0.7731, 0.4895, 0.6014) [1 per cell]
O (0.0105, 0.2209, 0.6398) [1 per cell]
O (0.0759, 0.5817, 0.0689) [1 per cell]
O (0.3390, 0.0734, 0.0209) [1 per cell]
O (0.5693, 0.2634, 0.1660) [1 per cell]
O (0.5713, 0.5544, 0.4561) [1 per cell]
O (0.6947, 0.7093, 0.7215) [1 per cell]


Calculated powder XRD pattern of Li4MnB2O6 for CuKα, from the PBE+U geometry in the Materials Project.

Principal peaks in the range 10° ≤ 2θ ≤ 90°, in order of rising 2θ:
2θ/deg, intensity, h k l
14.6, 1000, 1 1 0
28.7, 321, 1 0 1
29.5, 347, 2 2 0
30.3, 753, 1 1 1
30.9, 422, 1 3 0
34.7, 367, 1 2 1
39.0, 230, 3 2 0
39.4, 182, 0 3 1
45.7, 338, 2 3 1
54.4, 508, 0 0 2

Structural model:
Cell: 7.9701 9.3340 3.3729 Å, 90.00 90.00 90.00°
Space group Pnnm (No. 58)
One atom of each set of equivalent atoms:
Li (0.0089, 0.2007, 0.0000) [4 per cell]
Li (0.1730, 0.0538, 0.5000) [4 per cell]
Mn (0.0000, 0.5000, 0.5000) [2 per cell]
B (0.2303, 0.7973, 0.5000) [4 per cell]
O (0.0757, 0.8616, 0.5000) [4 per cell]
O (0.1242, 0.3846, 0.0000) [4 per cell]
O (0.2473, 0.6489, 0.5000) [4 per cell]


Calculated powder XRD pattern of LiMn2B2O6 for CuKα, from the PBE+U geometry in the Materials Project.

Principal peaks in the range 10° ≤ 2θ ≤ 90°, in order of rising 2θ:
2θ/deg, intensity, h k l
19.9, 278, 1 0 -1
20.2, 1000, 0 0 2
20.8, 296, 1 -1 1
21.9, 576, 1 0 1
22.8, 809, -1 1 1
33.9, 388, 1 0 -3
34.9, 786, 0 2 0
37.6, 274, 1 0 3
39.6, 267, 2 -1 2
40.5, 556, 2 0 -2

Structural model:
Cell: 5.3209 5.7800 9.0736 Å, 102.37 90.80 113.64°
Space group P1 (No. 1)
One atom of each set of equivalent atoms:
Li (0.0000, 0.0000, 0.0000) [1 per cell]
Li (0.3725, 0.3367, 0.5613) [1 per cell]
Mn (0.4136, 0.4182, 0.2166) [1 per cell]
Mn (0.4793, 0.9334, 0.8314) [1 per cell]
Mn (0.9118, 0.4251, 0.7369) [1 per cell]
Mn (0.9796, 0.9154, 0.3414) [1 per cell]
B (0.3928, 0.4185, 0.8927) [1 per cell]
B (0.4853, 0.9180, 0.1597) [1 per cell]
B (0.8925, 0.4127, 0.4059) [1 per cell]
B (0.9994, 0.9372, 0.6770) [1 per cell]
O (0.0313, 0.8071, 0.7891) [1 per cell]
O (0.1119, 0.3387, 0.3854) [1 per cell]
O (0.1537, 0.9655, 0.5608) [1 per cell]
O (0.2363, 0.3722, 0.0119) [1 per cell]
O (0.2893, 0.0294, 0.1827) [1 per cell]
O (0.3140, 0.5088, 0.7748) [1 per cell]
O (0.5262, 0.7923, 0.2685) [1 per cell]
O (0.6095, 0.3478, 0.8746) [1 per cell]
O (0.6355, 0.9373, 0.0410) [1 per cell]
O (0.7508, 0.3965, 0.5315) [1 per cell]
O (0.8025, 0.5013, 0.2922) [1 per cell]
O (0.8165, 0.0547, 0.7094) [1 per cell]